[1]
Theoretical XRD peak list
Compound: Ho3AgPd2
Radiation: Cu Kα X-rays
Structure: a cell relaxed with PBE
Neutral-atom scattering factors, no anomalous dispersion.

Most intense lines, 2θ from 5° to 70°, in order of rising 2θ:
2θ 25.20, 3.534 Å, intensity 4; 2θ 35.94, 2.499 Å, intensity 100; 2θ 44.43, 2.039 Å, intensity 1; 2θ 51.74, 1.767 Å, intensity 17; 2θ 58.40, 1.580 Å, intensity 2; 2θ 64.49, 1.445 Å, intensity 9; 2θ 64.64, 1.442 Å, intensity 27

Structure:
```
Ho3AgPd2
1.0
4.993 0.000 0.000
-2.496 4.324 0.000
0.000 0.000 12.265
Ho Ag Pd
6 2 4
direct
0.000 0.000 0.243
0.000 0.000 0.757
0.333 0.667 0.417
0.333 0.667 0.923
0.667 0.333 0.077
0.667 0.333 0.583
0.333 0.667 0.670
0.667 0.333 0.330
0.000 0.000 0.000
0.000 0.000 0.500
0.333 0.667 0.171
0.667 0.333 0.829
```

[2]
Theoretical XRD peak list
Compound: Na3CuO2
Radiation: Cu Kα X-rays
Structure: a cell relaxed with PBE
Neutral-atom scattering factors, no anomalous dispersion.

Most intense lines, 2θ from 5° to 70°, in order of rising 2θ:
2θ 18.68, 4.751 Å, intensity 14; 2θ 20.90, 4.249 Å, intensity 44; 2θ 21.43, 4.147 Å, intensity 66; 2θ 23.41, 3.801 Å, intensity 34; 2θ 34.35, 2.610 Å, intensity 100; 2θ 39.09, 2.304 Å, intensity 45; 2θ 40.27, 2.240 Å, intensity 63; 2θ 52.05, 1.757 Å, intensity 15; 2θ 57.37, 1.606 Å, intensity 39; 2θ 58.26, 1.584 Å, intensity 15; 2θ 67.80, 1.382 Å, intensity 13; 2θ 69.41, 1.354 Å, intensity 23

Structure:
```
Na3CuO2
1.0
9.502 0.000 0.000
0.000 9.502 0.000
0.000 0.000 4.609
Na Cu O
12 4 8
direct
0.021 0.346 0.000
0.147 0.853 0.500
0.154 0.521 0.500
0.346 0.021 0.000
0.353 0.353 0.000
0.479 0.846 0.500
0.521 0.154 0.500
0.647 0.647 0.000
0.654 0.979 0.000
0.846 0.479 0.500
0.853 0.147 0.500
0.979 0.654 0.000
0.171 0.171 0.500
0.329 0.671 0.000
0.671 0.329 0.000
0.829 0.829 0.500
0.033 0.303 0.500
0.197 0.533 0.000
0.303 0.033 0.500
0.467 0.803 0.000
0.533 0.197 0.000
0.697 0.967 0.500
0.803 0.467 0.000
0.967 0.697 0.500
```

[3]
Theoretical XRD peak list
Compound: CdTc2Ru
Radiation: Cu Kα X-rays
Structure: a cell relaxed with PBE
Neutral-atom scattering factors, no anomalous dispersion.

Most intense lines, 2θ from 5° to 70°, in order of rising 2θ:
2θ 28.57, 3.124 Å, intensity 3; 2θ 37.67, 2.388 Å, intensity 1; 2θ 38.41, 2.343 Å, intensity 29; 2θ 38.95, 2.312 Å, intensity 30; 2θ 41.32, 2.185 Å, intensity 100; 2θ 46.89, 1.937 Å, intensity 1; 2θ 48.56, 1.875 Å, intensity 1; 2θ 49.01, 1.859 Å, intensity 1; 2θ 55.86, 1.646 Å, intensity 19; 2θ 62.17, 1.493 Å, intensity 2; 2θ 63.72, 1.461 Å, intensity 7; 2θ 63.93, 1.456 Å, intensity 1

Structure:
```
CdTc2Ru
1.0
2.921 0.000 0.000
0.000 4.624 0.000
0.000 0.000 9.373
Cd Tc Ru
2 4 2
direct
0.000 0.000 0.000
0.500 0.500 0.000
0.000 0.000 0.503
0.000 0.500 0.271
0.500 0.000 0.271
0.500 0.500 0.503
0.000 0.500 0.736
0.500 0.000 0.736
```

[4]
Theoretical XRD peak list
Compound: CaAg4Ge
Radiation: Cu Kα X-rays
Structure: a cell relaxed with PBE
Neutral-atom scattering factors, no anomalous dispersion.

Most intense lines, 2θ from 5° to 70°, in order of rising 2θ:
2θ 11.70, 7.562 Å, intensity 32; 2θ 17.12, 5.180 Å, intensity 12; 2θ 33.19, 2.700 Å, intensity 22; 2θ 34.03, 2.634 Å, intensity 89; 2θ 35.62, 2.521 Å, intensity 35; 2θ 37.87, 2.376 Å, intensity 15; 2θ 39.26, 2.295 Å, intensity 48; 2θ 39.97, 2.256 Å, intensity 100; 2θ 44.67, 2.029 Å, intensity 24; 2θ 54.05, 1.697 Å, intensity 20; 2θ 66.44, 1.407 Å, intensity 16; 2θ 67.84, 1.382 Å, intensity 14

Structure:
```
CaAg4Ge
1.0
7.110 0.000 0.000
0.000 4.589 0.000
0.000 0.000 7.562
Ca Ag Ge
2 8 2
direct
0.250 0.000 0.136
0.750 0.000 0.864
0.000 0.000 0.500
0.048 0.500 0.810
0.250 0.500 0.452
0.452 0.500 0.810
0.500 0.000 0.500
0.548 0.500 0.190
0.750 0.500 0.548
0.952 0.500 0.190
0.250 0.000 0.751
0.750 0.000 0.249
```

[5]
Theoretical XRD peak list
Compound: La6Pt5
Radiation: Cu Kα X-rays
Structure: a cell relaxed with PBE
Neutral-atom scattering factors, no anomalous dispersion.

Most intense lines, 2θ from 5° to 70°, in order of rising 2θ:
2θ 12.74, 6.948 Å, intensity 4; 2θ 13.89, 6.378 Å, intensity 3; 2θ 14.50, 6.109 Å, intensity 5; 2θ 16.30, 5.438 Å, intensity 4; 2θ 29.70, 3.008 Å, intensity 100; 2θ 42.46, 2.129 Å, intensity 38; 2θ 42.53, 2.126 Å, intensity 38; 2θ 52.65, 1.738 Å, intensity 13; 2θ 52.74, 1.736 Å, intensity 13; 2θ 61.66, 1.504 Å, intensity 12; 2θ 69.80, 1.347 Å, intensity 6; 2θ 69.92, 1.345 Å, intensity 22

Structure:
```
La6Pt5
1.0
3.687 -6.378 0.000
3.687 6.378 0.000
-2.437 0.000 6.948
La Pt
6 5
direct
0.067 0.413 0.741
0.239 0.239 0.253
0.413 0.067 0.741
0.587 0.933 0.259
0.761 0.761 0.747
0.933 0.587 0.259
0.000 0.000 0.500
0.168 0.832 0.000
0.338 0.662 0.500
0.662 0.338 0.500
0.832 0.168 0.000
```

[6]
Theoretical XRD peak list
Compound: Ce3UGa12
Radiation: Cu Kα X-rays
Structure: a cell relaxed with PBE
Neutral-atom scattering factors, no anomalous dispersion.

Most intense lines, 2θ from 5° to 70°, in order of rising 2θ:
2θ 5.10, 17.329 Å, intensity 7; 2θ 20.54, 4.324 Å, intensity 16; 2θ 29.21, 3.057 Å, intensity 14; 2θ 35.98, 2.496 Å, intensity 100; 2θ 41.70, 2.166 Å, intensity 16; 2θ 41.82, 2.160 Å, intensity 33; 2θ 46.97, 1.935 Å, intensity 5; 2θ 47.04, 1.932 Å, intensity 3; 2θ 51.79, 1.765 Å, intensity 6; 2θ 60.57, 1.529 Å, intensity 32; 2θ 64.68, 1.441 Å, intensity 4; 2θ 68.70, 1.366 Å, intensity 2

Structure:
```
Ce3UGa12
1.0
4.320 0.000 0.000
0.000 4.320 0.000
0.000 0.000 17.329
Ce U Ga
3 1 12
direct
0.000 0.000 0.000
0.000 0.000 0.252
0.000 0.000 0.748
0.000 0.000 0.500
0.000 0.500 0.126
0.000 0.500 0.378
0.000 0.500 0.622
0.000 0.500 0.874
0.500 0.000 0.126
0.500 0.000 0.378
0.500 0.000 0.622
0.500 0.000 0.874
0.500 0.500 0.000
0.500 0.500 0.251
0.500 0.500 0.500
0.500 0.500 0.749
```

[7]
Theoretical XRD peak list
Compound: Pr4Cu3Sb8
Radiation: Cu Kα X-rays
Structure: a cell relaxed with PBE
Neutral-atom scattering factors, no anomalous dispersion.

Most intense lines, 2θ from 5° to 70°, in order of rising 2θ:
2θ 26.82, 3.324 Å, intensity 14; 2θ 27.00, 3.303 Å, intensity 18; 2θ 30.03, 2.976 Å, intensity 26; 2θ 33.77, 2.654 Å, intensity 31; 2θ 33.91, 2.643 Å, intensity 100; 2θ 40.94, 2.204 Å, intensity 48; 2θ 49.62, 1.837 Å, intensity 11; 2θ 50.20, 1.817 Å, intensity 17; 2θ 54.08, 1.696 Å, intensity 16; 2θ 55.65, 1.651 Å, intensity 8; 2θ 59.28, 1.559 Å, intensity 16; 2θ 66.71, 1.402 Å, intensity 15

Structure:
```
Pr4Cu3Sb8
1.0
4.409 0.000 0.000
0.000 4.409 0.000
0.000 0.000 19.945
Pr Cu Sb
4 3 8
direct
0.000 0.500 0.117
0.000 0.500 0.627
0.500 0.000 0.373
0.500 0.000 0.883
0.000 0.000 0.000
0.000 0.000 0.500
0.500 0.500 0.500
0.000 0.000 0.245
0.000 0.000 0.755
0.000 0.500 0.423
0.000 0.500 0.933
0.500 0.000 0.067
0.500 0.000 0.577
0.500 0.500 0.245
0.500 0.500 0.755
```

[8]
Theoretical XRD peak list
Compound: Ac2PmPr5Nd
Radiation: Cu Kα X-rays
Structure: a cell relaxed with PBE
Neutral-atom scattering factors, no anomalous dispersion.

Most intense lines, 2θ from 5° to 70°, in order of rising 2θ:
2θ 25.42, 3.504 Å, intensity 12; 2θ 26.72, 3.337 Å, intensity 16; 2θ 28.78, 3.102 Å, intensity 39; 2θ 30.17, 2.962 Å, intensity 42; 2θ 30.68, 2.914 Å, intensity 100; 2θ 32.29, 2.772 Å, intensity 11; 2θ 40.73, 2.215 Å, intensity 11; 2θ 44.78, 2.024 Å, intensity 10; 2θ 48.61, 1.873 Å, intensity 13; 2θ 53.91, 1.701 Å, intensity 21; 2θ 56.44, 1.630 Å, intensity 15; 2θ 58.29, 1.583 Å, intensity 15

Structure:
```
Ac2PmPr5Nd
1.0
2.962 -10.496 0.000
2.962 10.496 0.000
0.000 0.000 11.089
Ac Pm Pr Nd
4 2 10 2
direct
0.113 0.887 0.500
0.118 0.882 0.090
0.882 0.118 0.590
0.887 0.113 0.000
0.208 0.792 0.776
0.792 0.208 0.276
0.019 0.981 0.792
0.282 0.718 0.079
0.295 0.705 0.470
0.393 0.607 0.792
0.481 0.519 0.511
0.519 0.481 0.011
0.607 0.393 0.292
0.705 0.295 0.970
0.718 0.282 0.579
0.981 0.019 0.292
0.410 0.590 0.231
0.590 0.410 0.731
```

[9]
Theoretical XRD peak list
Compound: NbHgS2
Radiation: Cu Kα X-rays
Structure: a cell relaxed with PBE
Neutral-atom scattering factors, no anomalous dispersion.

Most intense lines, 2θ from 5° to 70°, in order of rising 2θ:
2θ 9.37, 9.434 Å, intensity 23; 2θ 18.81, 4.717 Å, intensity 100; 2θ 31.02, 2.883 Å, intensity 19; 2θ 31.40, 2.849 Å, intensity 64; 2θ 31.81, 2.813 Å, intensity 30; 2θ 33.06, 2.710 Å, intensity 30; 2θ 33.58, 2.669 Å, intensity 30; 2θ 33.68, 2.661 Å, intensity 30; 2θ 39.78, 2.266 Å, intensity 25; 2θ 39.96, 2.256 Å, intensity 24; 2θ 41.00, 2.201 Å, intensity 24; 2θ 54.99, 1.670 Å, intensity 29

Structure:
```
NbHgS2
1.0
3.342 0.000 0.000
-1.665 2.898 0.000
-0.265 -1.727 9.434
Nb Hg S
1 1 2
direct
0.000 0.000 0.000
0.520 0.002 0.510
0.271 0.568 0.834
0.396 0.765 0.166
```

[10]
Theoretical XRD peak list
Compound: LaHo2Th6
Radiation: Cu Kα X-rays
Structure: a cell relaxed with PBE
Neutral-atom scattering factors, no anomalous dispersion.

Most intense lines, 2θ from 5° to 70°, in order of rising 2θ:
2θ 29.12, 3.067 Å, intensity 56; 2θ 29.66, 3.012 Å, intensity 65; 2θ 32.04, 2.794 Å, intensity 89; 2θ 33.58, 2.669 Å, intensity 100; 2θ 35.38, 2.537 Å, intensity 19; 2θ 42.05, 2.149 Å, intensity 41; 2θ 51.63, 1.770 Å, intensity 45; 2θ 53.11, 1.724 Å, intensity 16; 2θ 56.18, 1.637 Å, intensity 28; 2θ 60.67, 1.526 Å, intensity 53; 2θ 62.06, 1.495 Å, intensity 14; 2θ 63.00, 1.475 Å, intensity 17

Structure:
```
LaHo2Th6
1.0
3.541 0.000 0.000
-1.770 3.067 0.000
0.000 0.000 27.110
La Ho Th
1 2 6
direct
0.000 0.000 0.000
0.667 0.333 0.331
0.667 0.333 0.669
0.000 0.000 0.223
0.000 0.000 0.439
0.000 0.000 0.561
0.000 0.000 0.777
0.667 0.333 0.115
0.667 0.333 0.885
```

[11]
Theoretical XRD peak list
Compound: NaPaCoSe4
Radiation: Cu Kα X-rays
Structure: a cell relaxed with PBE
Neutral-atom scattering factors, no anomalous dispersion.

Most intense lines, 2θ from 5° to 70°, in order of rising 2θ:
2θ 10.75, 8.229 Å, intensity 100; 2θ 18.54, 4.785 Å, intensity 16; 2θ 20.98, 4.234 Å, intensity 21; 2θ 28.77, 3.103 Å, intensity 19; 2θ 29.29, 3.049 Å, intensity 29; 2θ 32.62, 2.745 Å, intensity 27; 2θ 33.09, 2.707 Å, intensity 18; 2θ 33.36, 2.686 Å, intensity 23; 2θ 37.59, 2.393 Å, intensity 15; 2θ 41.13, 2.195 Å, intensity 17; 2θ 41.96, 2.153 Å, intensity 17; 2θ 42.74, 2.115 Å, intensity 16

Structure:
```
NaPaCoSe4
1.0
6.900 0.000 0.000
0.000 5.882 0.000
-2.543 0.000 8.229
Na Pa Co Se
2 2 2 8
direct
0.230 0.250 0.444
0.770 0.750 0.556
0.234 0.250 0.943
0.766 0.750 0.057
0.250 0.750 0.172
0.750 0.250 0.828
0.061 0.750 0.356
0.072 0.750 0.897
0.482 0.507 0.777
0.482 0.993 0.777
0.518 0.007 0.223
0.518 0.493 0.223
0.928 0.250 0.103
0.939 0.250 0.644
```

[12]
Theoretical XRD peak list
Compound: Cs2PrPbO4
Radiation: Cu Kα X-rays
Structure: a cell relaxed with PBE
Neutral-atom scattering factors, no anomalous dispersion.

Most intense lines, 2θ from 5° to 70°, in order of rising 2θ:
2θ 16.28, 5.444 Å, intensity 7; 2θ 26.58, 3.353 Å, intensity 100; 2θ 27.06, 3.296 Å, intensity 41; 2θ 37.25, 2.414 Å, intensity 8; 2θ 38.64, 2.330 Å, intensity 20; 2θ 46.64, 1.948 Å, intensity 24; 2θ 47.51, 1.914 Å, intensity 41; 2θ 54.75, 1.677 Å, intensity 13; 2θ 55.79, 1.648 Å, intensity 6; 2θ 60.90, 1.521 Å, intensity 10; 2θ 63.06, 1.474 Å, intensity 7; 2θ 69.00, 1.361 Å, intensity 7

Structure:
```
Cs2PrPbO4
1.0
9.314 0.000 0.000
0.000 9.656 0.000
-4.656 0.000 4.665
Cs Pr Pb O
4 2 2 8
direct
0.000 0.000 0.000
0.000 0.250 0.500
0.500 0.500 0.000
0.500 0.750 0.500
0.000 0.500 0.000
0.500 0.000 0.000
0.000 0.750 0.500
0.500 0.250 0.500
0.148 0.626 0.398
0.250 0.373 0.101
0.250 0.873 0.899
0.352 0.126 0.602
0.648 0.126 0.398
0.750 0.373 0.899
0.750 0.873 0.101
0.852 0.626 0.602
```

[13]
Theoretical XRD peak list
Compound: CePmCS
Radiation: Cu Kα X-rays
Structure: a cell relaxed with PBE
Neutral-atom scattering factors, no anomalous dispersion.

Most intense lines, 2θ from 5° to 70°, in order of rising 2θ:
2θ 16.01, 5.535 Å, intensity 2; 2θ 28.17, 3.168 Å, intensity 100; 2θ 32.35, 2.767 Å, intensity 33; 2θ 32.78, 2.732 Å, intensity 64; 2θ 36.68, 2.450 Å, intensity 1; 2θ 46.72, 1.944 Å, intensity 46; 2θ 47.03, 1.932 Å, intensity 23; 2θ 55.17, 1.665 Å, intensity 16; 2θ 55.73, 1.650 Å, intensity 31; 2θ 58.24, 1.584 Å, intensity 24; 2θ 67.72, 1.384 Å, intensity 4; 2θ 68.71, 1.366 Å, intensity 7

Structure:
```
CePmCS
1.0
3.864 0.000 0.000
0.000 3.864 0.000
0.000 0.000 5.535
Ce Pm C S
1 1 1 1
direct
0.000 0.000 0.000
0.500 0.500 0.500
0.500 0.500 0.000
0.000 0.000 0.500
```